(1)
Diffraction record for NaTbTe4. The X-ray diffraction stick pattern is theoretical, not measured: it uses a cell relaxed with PBE and λ = 1.5418 Å (Cu Kα).

Cell and atoms:
a b c (Å): 6.817 6.817 8.194
angles (deg): 90.00 90.00 90.00
Fractional coordinates of all 12 atoms:
Na1 0.250 0.250 0.000
Na2 0.750 0.750 0.000
Tb1 0.250 0.250 0.500
Tb2 0.750 0.750 0.500
Te1 0.103 0.603 0.271
Te2 0.103 0.897 0.729
Te3 0.397 0.603 0.729
Te4 0.397 0.897 0.271
Te5 0.603 0.103 0.729
Te6 0.603 0.397 0.271
Te7 0.897 0.103 0.271
Te8 0.897 0.397 0.729

Main lines, low angle first (2θ = 15–90°):
21.69 deg, I 20
28.60 deg, I 56
31.31 deg, I 100
34.22 deg, I 27
41.91 deg, I 33
44.22 deg, I 13
44.54 deg, I 33
58.67 deg, I 20
62.05 deg, I 17
62.55 deg, I 17

=====

(2)
Diffraction record for Na3TbZr2Te6. The X-ray diffraction stick pattern is theoretical, not measured: it uses a cell relaxed with PBE and λ = 1.5418 Å (Cu Kα).

Cell and atoms:
a b c (Å): 7.283 7.283 8.132
angles (deg): 98.62 98.62 120.08
Fractional coordinates of all 12 atoms:
Na1 0.000 0.000 0.000
Na2 0.339 0.661 0.000
Na3 0.661 0.339 0.000
Tb1 0.500 0.500 0.500
Zr1 0.168 0.832 0.500
Zr2 0.832 0.168 0.500
Te1 0.077 0.423 0.271
Te2 0.230 0.230 0.727
Te3 0.423 0.077 0.271
Te4 0.577 0.923 0.729
Te5 0.770 0.770 0.273
Te6 0.923 0.577 0.729

Main lines, low angle first (2θ = 15–90°):
25.64 deg, I 10
28.93 deg, I 100
36.61 deg, I 10
39.64 deg, I 27
39.71 deg, I 13
43.04 deg, I 34
52.66 deg, I 12
59.95 deg, I 11
65.45 deg, I 10
70.31 deg, I 14

=====

(3)
Diffraction record for NaTbTl3. The X-ray diffraction stick pattern is theoretical, not measured: it uses a cell relaxed with PBE and λ = 1.5418 Å (Cu Kα).

Cell and atoms:
a b c (Å): 7.536 7.536 5.891
angles (deg): 90.00 90.00 120.00
Fractional coordinates of all 10 atoms:
Na1 0.000 0.000 0.000
Na2 0.000 0.000 0.500
Tb1 0.333 0.667 0.250
Tb2 0.667 0.333 0.750
Tl1 0.196 0.391 0.750
Tl2 0.196 0.804 0.750
Tl3 0.391 0.196 0.250
Tl4 0.609 0.804 0.750
Tl5 0.804 0.196 0.250
Tl6 0.804 0.609 0.250

Main lines, low angle first (2θ = 15–90°):
20.31 deg, I 11
27.33 deg, I 22
30.35 deg, I 28
31.34 deg, I 100
36.42 deg, I 12
41.29 deg, I 19
44.39 deg, I 17
48.31 deg, I 14
54.54 deg, I 21
58.12 deg, I 14

=====

(4)
Diffraction record for Na2Zn2Tc. The X-ray diffraction stick pattern is theoretical, not measured: it uses a cell relaxed with PBE and λ = 1.5418 Å (Cu Kα).

Cell and atoms:
a b c (Å): 8.332 8.332 2.585
angles (deg): 90.00 90.00 90.00
Fractional coordinates of all 10 atoms:
Na1 0.127 0.373 0.000
Na2 0.373 0.873 0.000
Na3 0.627 0.127 0.000
Na4 0.873 0.627 0.000
Zn1 0.175 0.675 0.500
Zn2 0.325 0.175 0.500
Zn3 0.675 0.825 0.500
Zn4 0.825 0.325 0.500
Tc1 0.000 0.000 0.000
Tc2 0.500 0.500 0.000

Main lines, low angle first (2θ = 15–90°):
15.04 deg, I 23
23.88 deg, I 32
30.34 deg, I 42
34.03 deg, I 100
38.01 deg, I 23
41.10 deg, I 54
42.57 deg, I 56
44.85 deg, I 18
59.08 deg, I 25
67.86 deg, I 19

=====

(5)
Diffraction record for NaTe. The X-ray diffraction stick pattern is theoretical, not measured: it uses a cell relaxed with PBE and λ = 1.5418 Å (Cu Kα).

Cell and atoms:
a b c (Å): 15.975 10.092 9.167
angles (deg): 90.00 90.00 90.00
Fractional coordinates of all 48 atoms:
Na1 0.029 0.181 0.060
Na2 0.029 0.819 0.560
Na3 0.114 0.326 0.740
Na4 0.114 0.674 0.240
Na5 0.189 0.018 0.286
Na6 0.189 0.982 0.786
Na7 0.311 0.482 0.786
Na8 0.311 0.518 0.286
Na9 0.386 0.174 0.240
Na10 0.386 0.826 0.740
Na11 0.471 0.319 0.560
Na12 0.471 0.681 0.060
Na13 0.529 0.319 0.940
Na14 0.529 0.681 0.440
Na15 0.614 0.174 0.260
Na16 0.614 0.826 0.760
Na17 0.689 0.482 0.714
Na18 0.689 0.518 0.214
Na19 0.811 0.018 0.214
Na20 0.811 0.982 0.714
Na21 0.886 0.326 0.760
Na22 0.886 0.674 0.260
Na23 0.971 0.181 0.440
Na24 0.971 0.819 0.940
Te1 0.000 0.070 0.750
Te2 0.000 0.500 0.000
Te3 0.000 0.500 0.500
Te4 0.000 0.930 0.250
Te5 0.134 0.363 0.305
Te6 0.134 0.637 0.805
Te7 0.246 0.244 0.010
Te8 0.246 0.756 0.510
Te9 0.254 0.256 0.510
Te10 0.254 0.744 0.010
Te11 0.366 0.137 0.805
Te12 0.366 0.863 0.305
Te13 0.500 0.000 0.000
Te14 0.500 0.000 0.500
Te15 0.500 0.430 0.250
Te16 0.500 0.570 0.750
Te17 0.634 0.137 0.695
Te18 0.634 0.863 0.195
Te19 0.746 0.256 0.990
Te20 0.746 0.744 0.490
Te21 0.754 0.244 0.490
Te22 0.754 0.756 0.990
Te23 0.866 0.363 0.195
Te24 0.866 0.637 0.695

Main lines, low angle first (2θ = 15–90°):
20.09 deg, I 51
20.82 deg, I 100
21.21 deg, I 32
27.15 deg, I 57
28.58 deg, I 51
29.67 deg, I 64
33.52 deg, I 45
35.38 deg, I 38
42.38 deg, I 34
44.87 deg, I 35

=====

(6)
Diffraction record for NaTe. The X-ray diffraction stick pattern is theoretical, not measured: it uses a cell relaxed with PBE and λ = 1.5418 Å (Cu Kα).

Cell and atoms:
a b c (Å): 5.994 5.994 5.994
angles (deg): 133.65 118.21 80.62
Fractional coordinates of all 4 atoms:
Na1 0.189 0.189 0.000
Na2 0.811 0.811 0.000
Te1 0.252 0.500 0.752
Te2 0.748 0.500 0.248

Main lines, low angle first (2θ = 15–90°):
19.42 deg, I 53
21.19 deg, I 100
29.01 deg, I 17
35.10 deg, I 86
36.21 deg, I 68
38.15 deg, I 18
43.16 deg, I 13
46.12 deg, I 20
52.84 deg, I 25
62.26 deg, I 16

=====

(7)
Diffraction record for Na5ThTe6. The X-ray diffraction stick pattern is theoretical, not measured: it uses a cell relaxed with PBE and λ = 1.5418 Å (Cu Kα).

Cell and atoms:
a b c (Å): 8.783 8.783 7.258
angles (deg): 101.93 101.93 129.72
Fractional coordinates of all 12 atoms:
Na1 0.000 0.000 0.000
Na2 0.331 0.669 0.000
Na3 0.332 0.668 0.500
Na4 0.668 0.332 0.500
Na5 0.669 0.331 0.000
Th1 0.000 0.000 0.500
Te1 0.160 0.839 0.751
Te2 0.161 0.840 0.249
Te3 0.492 0.492 0.747
Te4 0.508 0.508 0.253
Te5 0.839 0.160 0.751
Te6 0.840 0.161 0.249

Main lines, low angle first (2θ = 15–90°):
15.04 deg, I 17
21.61 deg, I 30
27.36 deg, I 63
29.84 deg, I 100
33.82 deg, I 35
40.92 deg, I 84
44.04 deg, I 33
65.17 deg, I 21
65.35 deg, I 20
69.03 deg, I 17

=====

(8)
Diffraction record for Na4ThTe4. The X-ray diffraction stick pattern is theoretical, not measured: it uses a cell relaxed with PBE and λ = 1.5418 Å (Cu Kα).

Cell and atoms:
a b c (Å): 8.704 8.704 8.704
angles (deg): 128.00 128.00 76.63
Fractional coordinates of all 9 atoms:
Na1 0.000 0.500 0.500
Na2 0.214 0.214 0.000
Na3 0.500 0.000 0.500
Na4 0.786 0.786 0.000
Th1 0.500 0.500 0.000
Te1 0.148 0.601 0.000
Te2 0.399 0.399 0.547
Te3 0.601 0.148 0.000
Te4 0.852 0.852 0.453

Main lines, low angle first (2θ = 15–90°):
16.43 deg, I 18
20.98 deg, I 100
32.79 deg, I 26
33.20 deg, I 37
35.27 deg, I 64
39.61 deg, I 34
43.13 deg, I 16
43.25 deg, I 16
55.49 deg, I 16
60.67 deg, I 21

=====

(9)
Diffraction record for Na3Th3TiTe8. The X-ray diffraction stick pattern is theoretical, not measured: it uses a cell relaxed with PBE and λ = 1.5418 Å (Cu Kα).

Cell and atoms:
a b c (Å): 9.322 9.322 9.322
angles (deg): 55.64 55.64 55.64
Fractional coordinates of all 15 atoms:
Na1 0.000 0.500 0.500
Na2 0.500 0.000 0.500
Na3 0.500 0.500 0.000
Th1 0.000 0.000 0.500
Th2 0.000 0.500 0.000
Th3 0.500 0.000 0.000
Ti1 0.500 0.500 0.500
Te1 0.249 0.249 0.249
Te2 0.262 0.732 0.732
Te3 0.268 0.268 0.738
Te4 0.268 0.738 0.268
Te5 0.732 0.262 0.732
Te6 0.732 0.732 0.262
Te7 0.738 0.268 0.268
Te8 0.751 0.751 0.751

Main lines, low angle first (2θ = 15–90°):
23.92 deg, I 17
28.11 deg, I 100
35.77 deg, I 15
38.81 deg, I 40
41.51 deg, I 35
43.15 deg, I 12
50.89 deg, I 19
58.13 deg, I 12
63.87 deg, I 17
67.69 deg, I 15

=====

(10)
Diffraction record for Na2TiTe3. The X-ray diffraction stick pattern is theoretical, not measured: it uses a cell relaxed with PBE and λ = 1.5418 Å (Cu Kα).

Cell and atoms:
a b c (Å): 7.445 7.445 7.437
angles (deg): 97.68 97.68 68.01
Fractional coordinates of all 12 atoms:
Na1 0.023 0.666 0.842
Na2 0.334 0.977 0.658
Na3 0.666 0.023 0.342
Na4 0.977 0.334 0.158
Ti1 0.411 0.589 0.250
Ti2 0.589 0.411 0.750
Te1 0.103 0.897 0.250
Te2 0.298 0.396 0.496
Te3 0.396 0.298 0.996
Te4 0.604 0.702 0.004
Te5 0.702 0.604 0.504
Te6 0.897 0.103 0.750

Main lines, low angle first (2θ = 15–90°):
18.47 deg, I 42
21.34 deg, I 51
24.39 deg, I 100
26.47 deg, I 43
27.64 deg, I 62
28.59 deg, I 40
30.39 deg, I 37
35.13 deg, I 41
35.77 deg, I 60
44.64 deg, I 32

=====

(11)
Diffraction record for Na6TlTe4. The X-ray diffraction stick pattern is theoretical, not measured: it uses a cell relaxed with PBE and λ = 1.5418 Å (Cu Kα).

Cell and atoms:
a b c (Å): 9.572 9.572 4.309
angles (deg): 90.00 90.00 120.00
Fractional coordinates of all 11 atoms:
Na1 0.197 0.394 0.000
Na2 0.197 0.803 0.000
Na3 0.538 0.076 0.500
Na4 0.538 0.462 0.500
Na5 0.606 0.803 0.000
Na6 0.924 0.462 0.500
Tl1 0.000 0.000 0.500
Te1 0.333 0.667 0.500
Te2 0.342 0.171 0.000
Te3 0.829 0.171 0.000
Te4 0.829 0.658 0.000

Main lines, low angle first (2θ = 15–90°):
21.44 deg, I 66
23.27 deg, I 24
27.86 deg, I 100
28.49 deg, I 28
29.91 deg, I 81
35.42 deg, I 29
37.59 deg, I 66
38.71 deg, I 41
55.06 deg, I 30
57.56 deg, I 38

=====

(12)
Diffraction record for NaTl5Te3. The X-ray diffraction stick pattern is theoretical, not measured: it uses a cell relaxed with PBE and λ = 1.5418 Å (Cu Kα).

Cell and atoms:
a b c (Å): 8.235 8.235 12.912
angles (deg): 109.50 109.50 76.25
Fractional coordinates of all 18 atoms:
Na1 0.012 0.012 0.258
Na2 0.988 0.988 0.742
Tl1 0.054 0.405 0.619
Tl2 0.265 0.265 0.099
Tl3 0.325 0.675 0.000
Tl4 0.405 0.054 0.619
Tl5 0.476 0.476 0.651
Tl6 0.524 0.524 0.349
Tl7 0.595 0.946 0.381
Tl8 0.675 0.325 0.000
Tl9 0.735 0.735 0.901
Tl10 0.946 0.595 0.381
Te1 0.000 0.000 0.000
Te2 0.000 0.000 0.500
Te3 0.260 0.260 0.844
Te4 0.301 0.301 0.386
Te5 0.699 0.699 0.614
Te6 0.740 0.740 0.156

Main lines, low angle first (2θ = 15–90°):
15.13 deg, I 59
16.27 deg, I 56
22.26 deg, I 79
26.35 deg, I 68
27.55 deg, I 86
27.72 deg, I 97
30.48 deg, I 100
33.03 deg, I 64
34.09 deg, I 73
38.02 deg, I 61

=====

Please write out number 1 again, unchanged.
Diffraction record for NaTbTe4. The X-ray diffraction stick pattern is theoretical, not measured: it uses a cell relaxed with PBE and λ = 1.5418 Å (Cu Kα).

Cell and atoms:
a b c (Å): 6.817 6.817 8.194
angles (deg): 90.00 90.00 90.00
Fractional coordinates of all 12 atoms:
Na1 0.250 0.250 0.000
Na2 0.750 0.750 0.000
Tb1 0.250 0.250 0.500
Tb2 0.750 0.750 0.500
Te1 0.103 0.603 0.271
Te2 0.103 0.897 0.729
Te3 0.397 0.603 0.729
Te4 0.397 0.897 0.271
Te5 0.603 0.103 0.729
Te6 0.603 0.397 0.271
Te7 0.897 0.103 0.271
Te8 0.897 0.397 0.729

Main lines, low angle first (2θ = 15–90°):
21.69 deg, I 20
28.60 deg, I 56
31.31 deg, I 100
34.22 deg, I 27
41.91 deg, I 33
44.22 deg, I 13
44.54 deg, I 33
58.67 deg, I 20
62.05 deg, I 17
62.55 deg, I 17

=====

Question: Which formula does entry 1 have?
Answer: NaTbTe4